Diffraction record for KBeCd. The PXRD pattern is simulated, not measured: it uses the GGA-PBE geometry in Alexandria and Cu Kα (weighted mean of Kα1 and Kα2).
Peak positions follow from Bragg's law for the DFT cell and can differ from measured ones.

Structural model:
```
KBeCd
1.0
5.9352 0.0000 0.0000
0.0000 4.1898 0.0000
-0.4063 0.0000 6.1348
K Be Cd
2 2 2
Direct
0.2452 0.2500 0.4913
0.7548 0.7500 0.5087
0.0717 0.2500 0.9909
0.9283 0.7500 0.0091
0.3338 0.7500 0.9939
0.6662 0.2500 0.0061
```

Principal peaks in the range 5 to 70 degrees two-theta, by angle:
- 2θ = 14.44°, rel. 95
- 2θ = 14.96°, rel. 33
- 2θ = 29.11°, rel. 74
- 2θ = 29.41°, rel. 100
- 2θ = 30.40°, rel. 98
- 2θ = 37.18°, rel. 33
- 2θ = 39.30°, rel. 28
- 2θ = 40.87°, rel. 29
- 2θ = 43.18°, rel. 24
- 2θ = 52.93°, rel. 25

***

Diffraction record for LaBeCd. The PXRD pattern is simulated, not measured: it uses the GGA-PBE geometry in Alexandria and Cu Kα (weighted mean of Kα1 and Kα2).
Peak positions follow from Bragg's law for the DFT cell and can differ from measured ones.

Structural model:
```
LaBeCd
1.0
-1.6650 2.3509 4.5245
1.6650 -2.3509 4.5245
1.6650 2.3509 -4.5245
La Be Cd
1 1 1
Direct
0.0000 0.0000 0.0000
0.6550 0.6550 0.0000
0.3350 0.3350 0.0000
```

Principal peaks in the range 5 to 70 degrees two-theta, by angle:
- 2θ = 19.62°, rel. 41
- 2θ = 21.30°, rel. 64
- 2θ = 28.56°, rel. 31
- 2θ = 32.96°, rel. 100
- 2θ = 35.35°, rel. 82
- 2θ = 38.29°, rel. 33
- 2θ = 38.65°, rel. 30
- 2θ = 40.35°, rel. 57
- 2θ = 56.83°, rel. 41
- 2θ = 67.27°, rel. 36

***

Diffraction record for La2BeCdNi. The PXRD pattern is simulated, not measured: it uses the GGA-PBE geometry in Alexandria and Cu Kα (weighted mean of Kα1 and Kα2).
Peak positions follow from Bragg's law for the DFT cell and can differ from measured ones.

Structural model:
```
La2BeCdNi
1.0
5.4320 0.0000 0.0000
0.0000 5.4320 0.0000
0.0000 0.0000 4.2636
La Be Cd Ni
2 1 1 1
Direct
0.0000 0.5000 0.0000
0.5000 0.0000 0.0000
0.0000 0.0000 0.5000
0.5000 0.5000 0.5000
0.0000 0.0000 0.0000
```

Principal peaks in the range 5 to 70 degrees two-theta, by angle:
- 2θ = 20.83°, rel. 30
- 2θ = 26.58°, rel. 43
- 2θ = 31.35°, rel. 100
- 2θ = 32.98°, rel. 85
- 2θ = 39.33°, rel. 24
- 2θ = 42.84°, rel. 23
- 2θ = 47.33°, rel. 31
- 2θ = 54.74°, rel. 39
- 2θ = 57.87°, rel. 35
- 2θ = 65.41°, rel. 23

***

Diffraction record for Li2BeCd. The PXRD pattern is simulated, not measured: it uses the GGA-PBE geometry in Alexandria and Cu Kα (weighted mean of Kα1 and Kα2).
Peak positions follow from Bragg's law for the DFT cell and can differ from measured ones.

Structural model:
```
Li2BeCd
1.0
0.0000 3.0800 3.0800
3.0800 0.0000 3.0800
3.0800 3.0800 0.0000
Li Be Cd
2 1 1
Direct
0.2500 0.2500 0.2500
0.7500 0.7500 0.7500
0.0000 0.0000 0.0000
0.5000 0.5000 0.5000
```

Principal peaks in the range 5 to 70 degrees two-theta, by angle:
- 2θ = 25.04°, rel. 100
- 2θ = 28.99°, rel. 55
- 2θ = 41.46°, rel. 57
- 2θ = 49.05°, rel. 47
- 2θ = 51.38°, rel. 14
- 2θ = 60.08°, rel. 9
- 2θ = 66.12°, rel. 18
- 2θ = 68.07°, rel. 17

***

Diffraction record for Mg2Be2Cd. The PXRD pattern is simulated, not measured: it uses the GGA-PBE geometry in Alexandria and Cu Kα (weighted mean of Kα1 and Kα2).
Peak positions follow from Bragg's law for the DFT cell and can differ from measured ones.

Structural model:
```
Mg2Be2Cd
1.0
6.5542 0.0000 0.0000
0.0000 6.5542 0.0000
0.0000 0.0000 3.7908
Mg Be Cd
4 4 2
Direct
0.1684 0.3316 0.0000
0.3316 0.8316 0.0000
0.6684 0.1684 0.0000
0.8316 0.6684 0.0000
0.1184 0.6184 0.5000
0.3816 0.1184 0.5000
0.6184 0.8816 0.5000
0.8816 0.3816 0.5000
0.0000 0.0000 0.5000
0.5000 0.5000 0.5000
```

Principal peaks in the range 5 to 70 degrees two-theta, by angle:
- 2θ = 19.15°, rel. 90
- 2θ = 27.21°, rel. 34
- 2θ = 30.47°, rel. 100
- 2θ = 36.23°, rel. 83
- 2θ = 38.85°, rel. 42
- 2θ = 43.67°, rel. 50
- 2θ = 45.90°, rel. 21
- 2θ = 50.16°, rel. 28
- 2θ = 63.44°, rel. 26
- 2θ = 66.89°, rel. 27

***

Diffraction record for BeCdMo2. The PXRD pattern is simulated, not measured: it uses the GGA-PBE geometry in Alexandria and Cu Kα (weighted mean of Kα1 and Kα2).
Peak positions follow from Bragg's law for the DFT cell and can differ from measured ones.

Structural model:
```
BeCdMo2
1.0
1.6391 -2.1894 0.0000
1.6391 2.1894 0.0000
0.0000 0.0000 8.5951
Be Cd Mo
1 1 2
Direct
0.0000 0.0000 0.0000
0.5000 0.5000 0.2457
0.0000 0.0000 0.5350
0.5000 0.5000 0.7899
```

Principal peaks in the range 5 to 70 degrees two-theta, by angle:
- 2θ = 10.29°, rel. 26
- 2θ = 20.67°, rel. 17
- 2θ = 31.22°, rel. 17
- 2θ = 34.17°, rel. 10
- 2θ = 35.78°, rel. 23
- 2θ = 40.27°, rel. 100
- 2θ = 41.23°, rel. 25
- 2θ = 42.05°, rel. 18
- 2θ = 60.37°, rel. 14
- 2θ = 64.84°, rel. 13

***

Diffraction record for NaBeCd. The PXRD pattern is simulated, not measured: it uses the GGA-PBE geometry in Alexandria and Cu Kα (weighted mean of Kα1 and Kα2).
Peak positions follow from Bragg's law for the DFT cell and can differ from measured ones.

Structural model:
```
NaBeCd
1.0
0.0000 4.3455 5.2592
2.4115 0.0000 5.2592
2.4115 4.3455 0.0000
Na Be Cd
2 2 2
Direct
0.1637 0.8363 0.1637
0.8363 0.1637 0.8363
0.2500 0.2500 0.2500
0.7500 0.7500 0.7500
0.3325 0.3325 0.6675
0.6675 0.6675 0.3325
```

Principal peaks in the range 5 to 70 degrees two-theta, by angle:
- 2θ = 16.86°, rel. 14
- 2θ = 20.44°, rel. 48
- 2θ = 22.72°, rel. 32
- 2θ = 26.61°, rel. 22
- 2θ = 33.23°, rel. 100
- 2θ = 37.24°, rel. 50
- 2θ = 42.89°, rel. 18
- 2θ = 44.72°, rel. 22
- 2θ = 46.40°, rel. 13
- 2θ = 62.69°, rel. 14

***

Diffraction record for Be2Cd2PbO6. The PXRD pattern is simulated, not measured: it uses the GGA-PBE geometry in Alexandria and Cu Kα (weighted mean of Kα1 and Kα2).
Peak positions follow from Bragg's law for the DFT cell and can differ from measured ones.

Structural model:
```
Be2Cd2PbO6
1.0
5.3825 0.0000 0.0000
-2.6912 4.6614 0.0000
0.0000 0.0000 5.6916
Be Cd Pb O
2 2 1 6
Direct
0.3333 0.6667 0.3099
0.6667 0.3333 0.6901
0.3333 0.6667 0.8468
0.6667 0.3333 0.1532
0.0000 0.0000 0.5000
0.0677 0.7021 0.2752
0.2979 0.3656 0.2752
0.3656 0.0677 0.7248
0.6344 0.9323 0.2752
0.7021 0.6344 0.7248
0.9323 0.2979 0.7248
```

Principal peaks in the range 5 to 70 degrees two-theta, by angle:
- 2θ = 24.69°, rel. 100
- 2θ = 33.29°, rel. 43
- 2θ = 37.00°, rel. 45
- 2θ = 41.88°, rel. 30
- 2θ = 50.62°, rel. 16
- 2θ = 54.52°, rel. 26
- 2θ = 59.49°, rel. 12
- 2θ = 59.63°, rel. 19
- 2θ = 61.94°, rel. 17
- 2θ = 69.01°, rel. 7

***

Diffraction record for Be3Cd4Si3TeO12. The PXRD pattern is simulated, not measured: it uses the GGA-PBE geometry in Alexandria and Cu Kα (weighted mean of Kα1 and Kα2).
Peak positions follow from Bragg's law for the DFT cell and can differ from measured ones.

Structural model:
```
Be3Cd4Si3TeO12
1.0
8.6818 0.0000 0.0000
0.0000 8.6818 0.0000
0.0000 0.0000 8.6818
Be Cd Si Te O
6 8 6 2 24
Direct
0.0000 0.2500 0.5000
0.0000 0.7500 0.5000
0.2500 0.5000 0.0000
0.5000 0.0000 0.2500
0.5000 0.0000 0.7500
0.7500 0.5000 0.0000
0.1848 0.1848 0.1848
0.1848 0.8152 0.8152
0.3152 0.3152 0.6848
0.3152 0.6848 0.3152
0.6848 0.3152 0.3152
0.6848 0.6848 0.6848
0.8152 0.1848 0.8152
0.8152 0.8152 0.1848
0.0000 0.5000 0.2500
0.0000 0.5000 0.7500
0.2500 0.0000 0.5000
0.5000 0.2500 0.0000
0.5000 0.7500 0.0000
0.7500 0.0000 0.5000
0.0000 0.0000 0.0000
0.5000 0.5000 0.5000
0.0624 0.3538 0.6462
0.0624 0.6462 0.3538
0.1462 0.1462 0.4376
0.1462 0.4376 0.1462
0.1462 0.5624 0.8538
0.1462 0.8538 0.5624
0.3538 0.0624 0.6462
0.3538 0.3538 0.9376
0.3538 0.6462 0.0624
0.3538 0.9376 0.3538
0.4376 0.1462 0.1462
0.4376 0.8538 0.8538
0.5624 0.1462 0.8538
0.5624 0.8538 0.1462
0.6462 0.0624 0.3538
0.6462 0.3538 0.0624
0.6462 0.6462 0.9376
0.6462 0.9376 0.6462
0.8538 0.1462 0.5624
0.8538 0.4376 0.8538
0.8538 0.5624 0.1462
0.8538 0.8538 0.4376
0.9376 0.3538 0.3538
0.9376 0.6462 0.6462
```

Principal peaks in the range 5 to 70 degrees two-theta, by angle:
- 2θ = 14.43°, rel. 17
- 2θ = 20.46°, rel. 7
- 2θ = 25.13°, rel. 100
- 2θ = 29.09°, rel. 25
- 2θ = 38.81°, rel. 36
- 2θ = 44.26°, rel. 78
- 2θ = 51.57°, rel. 9
- 2θ = 53.84°, rel. 11
- 2θ = 64.39°, rel. 16
- 2θ = 66.38°, rel. 25

***

Diffraction record for BeCdP2. The PXRD pattern is simulated, not measured: it uses the GGA-PBE geometry in Alexandria and Cu Kα (weighted mean of Kα1 and Kα2).
Peak positions follow from Bragg's law for the DFT cell and can differ from measured ones.

Structural model:
```
BeCdP2
1.0
3.5896 0.0000 0.0000
0.0000 3.5896 0.0000
0.0000 0.0000 6.0071
Be Cd P
1 1 2
Direct
0.0000 0.0000 0.0000
0.5000 0.5000 0.5000
0.0000 0.5000 0.8149
0.5000 0.0000 0.1851
```

Principal peaks in the range 5 to 70 degrees two-theta, by angle:
- 2θ = 14.75°, rel. 44
- 2θ = 24.80°, rel. 48
- 2θ = 28.98°, rel. 100
- 2θ = 38.50°, rel. 45
- 2θ = 39.11°, rel. 34
- 2θ = 46.86°, rel. 37
- 2θ = 50.88°, rel. 18
- 2θ = 52.32°, rel. 15
- 2θ = 59.61°, rel. 24
- 2θ = 65.98°, rel. 13

***

Diffraction record for BeCdP. The PXRD pattern is simulated, not measured: it uses the GGA-PBE geometry in Alexandria and Cu Kα (weighted mean of Kα1 and Kα2).
Peak positions follow from Bragg's law for the DFT cell and can differ from measured ones.

Structural model:
```
BeCdP
1.0
5.6380 0.0000 0.0000
0.0000 3.6231 0.0000
-2.5891 0.0000 5.0182
Be Cd P
2 2 2
Direct
0.1510 0.2500 0.0958
0.8490 0.7500 0.9042
0.3669 0.2500 0.7528
0.6331 0.7500 0.2472
0.1676 0.7500 0.3069
0.8324 0.2500 0.6931
```

Principal peaks in the range 5 to 70 degrees two-theta, by angle:
- 2θ = 17.70°, rel. 23
- 2θ = 18.41°, rel. 23
- 2θ = 30.43°, rel. 100
- 2θ = 31.77°, rel. 43
- 2θ = 35.79°, rel. 25
- 2θ = 39.51°, rel. 12
- 2θ = 43.94°, rel. 26
- 2θ = 45.20°, rel. 28
- 2θ = 47.40°, rel. 15
- 2θ = 60.79°, rel. 12

***

Diffraction record for Be4CdPd. The PXRD pattern is simulated, not measured: it uses the GGA-PBE geometry in Alexandria and Cu Kα (weighted mean of Kα1 and Kα2).
Peak positions follow from Bragg's law for the DFT cell and can differ from measured ones.

Structural model:
```
Be4CdPd
1.0
0.0000 3.2015 3.2015
3.2015 0.0000 3.2015
3.2015 3.2015 0.0000
Be Cd Pd
4 1 1
Direct
0.3765 0.3765 0.3765
0.3765 0.3765 0.8704
0.3765 0.8704 0.3765
0.8704 0.3765 0.3765
0.0000 0.0000 0.0000
0.7500 0.7500 0.7500
```

Principal peaks in the range 5 to 70 degrees two-theta, by angle:
- 2θ = 24.07°, rel. 100
- 2θ = 39.82°, rel. 94
- 2θ = 47.07°, rel. 67
- 2θ = 57.58°, rel. 12
- 2θ = 63.31°, rel. 20

***

Diffraction record for BeZnCdPd. The PXRD pattern is simulated, not measured: it uses the GGA-PBE geometry in Alexandria and Cu Kα (weighted mean of Kα1 and Kα2).
Peak positions follow from Bragg's law for the DFT cell and can differ from measured ones.

Structural model:
```
BeZnCdPd
1.0
0.0000 3.0781 3.0929
3.0446 0.0000 3.0929
3.0446 3.0781 0.0000
Be Zn Cd Pd
1 1 1 1
Direct
0.0000 0.0000 0.0000
0.5000 0.5000 0.5000
0.7500 0.7500 0.7500
0.2500 0.2500 0.2500
```

Principal peaks in the range 5 to 70 degrees two-theta, by angle:
- 2θ = 25.11°, rel. 36
- 2θ = 28.87°, rel. 31
- 2θ = 29.01°, rel. 31
- 2θ = 29.34°, rel. 30
- 2θ = 41.38°, rel. 100
- 2θ = 41.62°, rel. 98
- 2θ = 41.73°, rel. 98
- 2θ = 51.53°, rel. 24
- 2θ = 59.80°, rel. 16
- 2θ = 60.12°, rel. 16

***

Diffraction record for BeZnCdPd. The PXRD pattern is simulated, not measured: it uses the GGA-PBE geometry in Alexandria and Cu Kα (weighted mean of Kα1 and Kα2).
Peak positions follow from Bragg's law for the DFT cell and can differ from measured ones.

Structural model:
```
BeZnCdPd
1.0
2.8893 0.0000 0.0000
0.0000 3.5955 0.0000
0.0000 0.0000 6.1692
Be Zn Cd Pd
1 1 1 1
Direct
0.0000 0.0000 0.0000
0.5000 0.0000 0.3570
0.0000 0.5000 0.6375
0.5000 0.5000 0.0419
```

Principal peaks in the range 5 to 70 degrees two-theta, by angle:
- 2θ = 24.76°, rel. 41
- 2θ = 28.74°, rel. 48
- 2θ = 34.27°, rel. 76
- 2θ = 38.45°, rel. 77
- 2θ = 42.74°, rel. 100
- 2θ = 42.89°, rel. 22
- 2θ = 44.03°, rel. 25
- 2θ = 50.15°, rel. 20
- 2θ = 50.79°, rel. 24
- 2θ = 62.70°, rel. 25